(1)
Calculated X-ray powder pattern of Na2SiO9 for a wavelength of 1.5418 Å, from a structure optimized by DFT (GGA-PBE).
Peak positions follow from Bragg's law for the DFT cell and can differ from measured ones.

Main lines, sorted by position (2θ = 10–90°):
Position (°2θ)  Rel. int.
17.01  23
17.18  61
22.68  36
22.79  26
23.07  100
30.04  47
32.08  30
32.31  50
32.66  44
45.70  19

Structure:
Cell: 6.3381 5.9490 10.3722 Å, 90.00 94.51 90.00°
Fractional positions:
Na: 0.0831 0.0000 0.4324
Na: 0.4070 0.0044 0.1801
Na: 0.5930 0.5044 0.8199
Na: 0.9169 0.5000 0.5676
Si: 0.2815 0.4951 0.3213
Si: 0.7185 0.9951 0.6787
O: 0.0164 0.9195 0.0603
O: 0.1303 0.4459 0.8699
O: 0.1771 0.3722 0.4398
O: 0.2127 0.3319 0.1999
O: 0.2649 0.7608 0.3113
O: 0.3164 0.8704 0.8710
O: 0.3538 0.7598 0.6972
O: 0.3852 0.0654 0.8615
O: 0.4272 0.9516 0.6516
O: 0.5728 0.4516 0.3484
O: 0.6148 0.5654 0.1385
O: 0.6462 0.2598 0.3028
O: 0.6836 0.3704 0.1290
O: 0.7351 0.2608 0.6887
O: 0.7873 0.8319 0.8001
O: 0.8229 0.8722 0.5602
O: 0.8697 0.9459 0.1301
O: 0.9836 0.4195 0.9397

(2)
Calculated X-ray powder pattern of Na2Si2O5 for a wavelength of 1.5418 Å, from a structure optimized by DFT (GGA-PBE).
Peak positions follow from Bragg's law for the DFT cell and can differ from measured ones.

Main lines, sorted by position (2θ = 10–90°):
Position (°2θ)  Rel. int.
14.29  48
20.24  100
28.78  93
32.29  92
33.87  23
38.37  16
41.14  14
48.67  18
51.03  13
53.28  14

Structure:
Cell: 9.4714 9.4714 9.4714 Å, 98.25 98.25 135.47°
Fractional positions:
Na: 0.0419 0.0802 0.6982
Na: 0.1179 0.6563 0.1982
Na: 0.1563 0.4581 0.5383
Na: 0.4198 0.6179 0.9617
Na: 0.5802 0.3821 0.0383
Na: 0.8437 0.5419 0.4617
Na: 0.8821 0.3437 0.8018
Na: 0.9581 0.9198 0.3018
Si: 0.0261 0.1863 0.0753
Si: 0.3137 0.8891 0.8398
Si: 0.3891 0.0492 0.5753
Si: 0.4508 0.5261 0.3398
Si: 0.5492 0.4739 0.6602
Si: 0.6109 0.9508 0.4247
Si: 0.6863 0.1109 0.1602
Si: 0.9739 0.8137 0.9247
O: 0.0000 0.0000 0.0000
O: 0.0864 0.3400 0.9821
O: 0.1421 0.8957 0.4821
O: 0.1600 0.6421 0.7464
O: 0.1928 0.2961 0.2509
O: 0.2039 0.9548 0.8967
O: 0.3957 0.4136 0.7536
O: 0.4419 0.6928 0.3967
O: 0.4548 0.0581 0.7509
O: 0.5000 0.0000 0.0000
O: 0.5000 0.0000 0.5000
O: 0.5000 0.5000 0.5000
O: 0.5452 0.9419 0.2491
O: 0.5581 0.3072 0.6033
O: 0.6043 0.5864 0.2464
O: 0.7961 0.0452 0.1033
O: 0.8072 0.7039 0.7491
O: 0.8400 0.3579 0.2536
O: 0.8579 0.1043 0.5179
O: 0.9136 0.6600 0.0179